No. 1
CdGaPb: computed powder diffractogram (Cu Kα (weighted mean of Kα1 and Kα2)), based on a crystal structure in Alexandria, relaxed with PBE.
Neutral-atom scattering factors, no anomalous dispersion.

Peak list (10 most intense, 10° ≤ 2θ ≤ 90°, in order of rising 2θ)
2θ (°), I (rel.)
28.54, 28
29.15, 24
31.57, 100
34.02, 35
35.99, 62
41.21, 29
42.17, 28
55.22, 24
60.43, 18
70.44, 19

Atomic structure:
```
data_CdGaPb
_chemical_formula_sum 'Cd4 Ga4 Pb4'
_cell_length_a 13.437
_cell_length_b 4.286
_cell_length_c 5.389
_cell_angle_alpha 90.00
_cell_angle_beta 102.02
_cell_angle_gamma 90.00
_symmetry_space_group_name_H-M 'P 1'
_symmetry_Int_Tables_number 1
_symmetry_space_group_name_Hall 'P 1'
loop_
_atom_site_label
_atom_site_fract_x
_atom_site_fract_y
_atom_site_fract_z
_atom_site_occupancy
Cd1 0.071 0.000 0.271 1
Cd2 0.429 0.500 0.729 1
Cd3 0.571 0.500 0.271 1
Cd4 0.929 0.000 0.729 1
Ga1 0.232 0.500 0.334 1
Ga2 0.268 0.000 0.666 1
Ga3 0.732 0.000 0.334 1
Ga4 0.768 0.500 0.666 1
Pb1 0.112 0.500 0.791 1
Pb2 0.388 0.000 0.209 1
Pb3 0.612 0.000 0.791 1
Pb4 0.888 0.500 0.209 1
```

***

No. 2
CdGaPb2: computed powder diffractogram (Cu Kα (weighted mean of Kα1 and Kα2)), based on a crystal structure in Alexandria, relaxed with PBE.
Neutral-atom scattering factors, no anomalous dispersion.

Peak list (10 most intense, 10° ≤ 2θ ≤ 90°, in order of rising 2θ)
2θ (°), I (rel.)
15.13, 58
30.53, 87
31.23, 67
31.55, 100
33.70, 96
36.02, 67
40.56, 67
42.31, 36
55.39, 50
64.57, 62

Atomic structure:
```
data_CdGaPb2
_chemical_formula_sum 'Cd3 Ga3 Pb6'
_cell_length_a 3.318
_cell_length_b 3.318
_cell_length_c 35.140
_cell_angle_alpha 90.00
_cell_angle_beta 90.00
_cell_angle_gamma 120.00
_symmetry_space_group_name_H-M 'P 1'
_symmetry_Int_Tables_number 1
_symmetry_space_group_name_Hall 'P 1'
loop_
_atom_site_label
_atom_site_fract_x
_atom_site_fract_y
_atom_site_fract_z
_atom_site_occupancy
Cd1 0.000 0.000 0.000 1
Cd2 0.333 0.667 0.667 1
Cd3 0.667 0.333 0.333 1
Ga1 0.000 0.000 0.500 1
Ga2 0.333 0.667 0.167 1
Ga3 0.667 0.333 0.833 1
Pb1 0.000 0.000 0.414 1
Pb2 0.000 0.000 0.586 1
Pb3 0.333 0.667 0.081 1
Pb4 0.333 0.667 0.252 1
Pb5 0.667 0.333 0.748 1
Pb6 0.667 0.333 0.919 1
```